Entry 1:
Structure and computed X-ray powder pattern of Cs2U6Pd4S17 (a crystal structure in the Materials Project, relaxed with PBE; λ = 1.5418 Å (Cu Kα)).
Intensities are scaled so that the largest is 100.

Crystal structure
a = 10.3884 Å, b = 10.3884 Å, c = 12.8751 Å
α = 90.00°, β = 90.00°, γ = 90.00°
Positions (direct):
Cs1 0.0000 0.0000 0.2127
Cs2 0.0000 0.0000 0.7873
Cs3 0.5000 0.5000 0.2873
Cs4 0.5000 0.5000 0.7127
U1 0.0000 0.5000 0.2500
U2 0.0000 0.5000 0.7500
U3 0.1178 0.2385 0.5000
U4 0.2385 0.8822 0.5000
U5 0.2615 0.3822 0.0000
U6 0.3822 0.7385 0.0000
U7 0.5000 0.0000 0.2500
U8 0.5000 0.0000 0.7500
U9 0.6178 0.2615 0.0000
U10 0.7385 0.6178 0.0000
U11 0.7615 0.1178 0.5000
U12 0.8822 0.7615 0.5000
Pd1 0.0664 0.6388 0.0000
Pd2 0.1388 0.5664 0.5000
Pd3 0.3612 0.0664 0.0000
Pd4 0.4336 0.1388 0.5000
Pd5 0.5664 0.8612 0.5000
Pd6 0.6388 0.9336 0.0000
Pd7 0.8612 0.4336 0.5000
Pd8 0.9336 0.3612 0.0000
S1 0.0000 0.0000 0.5000
S2 0.0813 0.2994 0.1310
S3 0.0813 0.2994 0.8690
S4 0.0914 0.7246 0.3700
S5 0.0914 0.7246 0.6300
S6 0.2006 0.4187 0.3690
S7 0.2006 0.4187 0.6310
S8 0.2246 0.5914 0.1300
S9 0.2246 0.5914 0.8700
S10 0.2754 0.0914 0.3700
S11 0.2754 0.0914 0.6300
S12 0.2994 0.9187 0.1310
S13 0.2994 0.9187 0.8690
S14 0.4086 0.2246 0.1300
S15 0.4086 0.2246 0.8700
S16 0.4187 0.7994 0.3690
S17 0.4187 0.7994 0.6310
S18 0.5000 0.5000 0.0000
S19 0.5813 0.2006 0.3690
S20 0.5813 0.2006 0.6310
S21 0.5914 0.7754 0.1300
S22 0.5914 0.7754 0.8700
S23 0.7006 0.0813 0.1310
S24 0.7006 0.0813 0.8690
S25 0.7246 0.9086 0.3700
S26 0.7246 0.9086 0.6300
S27 0.7754 0.4086 0.1300
S28 0.7754 0.4086 0.8700
S29 0.7994 0.5813 0.3690
S30 0.7994 0.5813 0.6310
S31 0.9086 0.2754 0.3700
S32 0.9086 0.2754 0.6300
S33 0.9187 0.7006 0.1310
S34 0.9187 0.7006 0.8690

Top 8 peaks for 2θ = 10–80°, low angle first:
2θ/deg, I (rel.)
10.94, 46
12.05, 51
21.99, 100
28.00, 71
34.09, 47
34.38, 82
38.77, 45
42.09, 36



Entry 2:
Structure and computed X-ray powder pattern of Cs2UPd3S6 (a crystal structure in the Materials Project, relaxed with PBE; λ = 1.5418 Å (Cu Kα)).
Intensities are scaled so that the largest is 100.

Crystal structure
a = 11.6161 Å, b = 9.8300 Å, c = 9.3218 Å
α = 74.62°, β = 54.68°, γ = 50.69°
Positions (direct):
Cs1 0.2013 0.7987 0.2013
Cs2 0.2500 0.2500 0.2500
Cs3 0.7500 0.7500 0.7500
Cs4 0.7987 0.2013 0.7987
U1 0.3330 0.3330 0.6670
U2 0.6670 0.6670 0.3330
Pd1 0.0027 0.6782 0.9973
Pd2 0.3218 0.9973 0.6782
Pd3 0.3259 0.6741 0.6741
Pd4 0.6741 0.3259 0.3259
Pd5 0.6782 0.0027 0.3218
Pd6 0.9973 0.3218 0.0027
S1 0.1038 0.3051 0.6949
S2 0.1094 0.6865 0.6874
S3 0.3051 0.1038 0.8962
S4 0.3126 0.4833 0.8906
S5 0.3135 0.8906 0.4833
S6 0.4833 0.3126 0.3135
S7 0.5167 0.6874 0.6865
S8 0.6865 0.1094 0.5167
S9 0.6874 0.5167 0.1094
S10 0.6949 0.8962 0.1038
S11 0.8906 0.3135 0.3126
S12 0.8962 0.6949 0.3051

Top 8 peaks for 2θ = 10–80°, low angle first:
2θ/deg, I (rel.)
11.18, 83
22.47, 36
23.72, 100
31.98, 51
32.57, 27
33.58, 25
35.90, 44
42.75, 51



Entry 3:
Structure and computed X-ray powder pattern of Cs2Pd3Se4 (a crystal structure in the Materials Project, relaxed with PBE; λ = 1.5418 Å (Cu Kα)).
Intensities are scaled so that the largest is 100.

Crystal structure
a = 9.3452 Å, b = 8.1579 Å, c = 6.5530 Å
α = 78.04°, β = 58.65°, γ = 43.31°
Positions (direct):
Cs1 0.1519 0.1519 0.8481
Cs2 0.8481 0.8481 0.1519
Pd1 0.0000 0.0000 0.5000
Pd2 0.5000 0.5000 0.0000
Pd3 0.5000 0.5000 0.5000
Se1 0.2236 0.5596 0.4404
Se2 0.4404 0.7764 0.2236
Se3 0.5596 0.2236 0.7764
Se4 0.7764 0.4404 0.5596

Top 8 peaks for 2θ = 10–80°, low angle first:
2θ/deg, I (rel.)
11.88, 100
23.70, 71
27.89, 48
31.19, 38
32.75, 95
36.19, 61
48.50, 50
48.88, 38



Entry 4:
Structure and computed X-ray powder pattern of Cs2PdSe8 (a crystal structure in the Materials Project, relaxed with PBE; λ = 1.5418 Å (Cu Kα)).
Intensities are scaled so that the largest is 100.

Crystal structure
a = 12.7985 Å, b = 12.7985 Å, c = 12.7985 Å
α = 106.13°, β = 106.13°, γ = 116.38°
Positions (direct):
Cs1 0.0086 0.2586 0.5172
Cs2 0.2414 0.4914 0.9828
Cs3 0.2586 0.2414 0.2500
Cs4 0.4914 0.0086 0.2500
Cs5 0.5086 0.9914 0.7500
Cs6 0.7414 0.7586 0.7500
Cs7 0.7586 0.5086 0.0172
Cs8 0.9914 0.7414 0.4828
Pd1 0.1250 0.8750 0.2500
Pd2 0.3750 0.6250 0.7500
Pd3 0.6250 0.3750 0.2500
Pd4 0.8750 0.1250 0.7500
Se1 0.0255 0.1467 0.9369
Se2 0.0672 0.6671 0.9128
Se3 0.0886 0.0255 0.3788
Se4 0.1467 0.7098 0.1212
Se5 0.1544 0.0672 0.9001
Se6 0.1671 0.5672 0.4128
Se7 0.2098 0.6467 0.6212
Se8 0.2457 0.8329 0.9001
Se9 0.2543 0.1544 0.5872
Se10 0.2902 0.9114 0.4369
Se11 0.3329 0.7457 0.4001
Se12 0.3456 0.2457 0.9128
Se13 0.3533 0.4745 0.5631
Se14 0.4114 0.7902 0.9369
Se15 0.4328 0.3456 0.5999
Se16 0.4745 0.4114 0.1212
Se17 0.5255 0.5886 0.8788
Se18 0.5672 0.6544 0.4001
Se19 0.5886 0.2098 0.0631
Se20 0.6467 0.5255 0.4369
Se21 0.6544 0.7543 0.0872
Se22 0.6671 0.2543 0.5999
Se23 0.7098 0.0886 0.5631
Se24 0.7457 0.8456 0.4128
Se25 0.7543 0.1671 0.0999
Se26 0.7902 0.3533 0.3788
Se27 0.8329 0.4328 0.5872
Se28 0.8456 0.9328 0.0999
Se29 0.8533 0.2902 0.8788
Se30 0.9114 0.9745 0.6212
Se31 0.9328 0.3329 0.0872
Se32 0.9745 0.8533 0.0631

Top 8 peaks for 2θ = 10–80°, low angle first:
2θ/deg, I (rel.)
11.51, 27
15.46, 40
21.85, 86
26.42, 100
32.03, 69
32.51, 89
46.29, 27
50.63, 32



Entry 5:
Structure and computed X-ray powder pattern of CsPrS2 (a crystal structure in the Materials Project, relaxed with PBE; λ = 1.5418 Å (Cu Kα)).
Intensities are scaled so that the largest is 100.

Crystal structure
a = 4.2876 Å, b = 4.2876 Å, c = 24.3070 Å
α = 90.00°, β = 90.00°, γ = 120.00°
Positions (direct):
Cs1 0.0000 0.0000 0.0000
Cs2 0.3333 0.6667 0.6667
Cs3 0.6667 0.3333 0.3333
Pr1 0.0000 0.0000 0.5000
Pr2 0.3333 0.6667 0.1667
Pr3 0.6667 0.3333 0.8333
S1 0.0000 0.0000 0.2292
S2 0.0000 0.0000 0.7708
S3 0.3333 0.6667 0.4375
S4 0.3333 0.6667 0.8958
S5 0.6667 0.3333 0.1042
S6 0.6667 0.3333 0.5625

Top 8 peaks for 2θ = 10–80°, low angle first:
2θ/deg, I (rel.)
21.94, 28
25.08, 51
28.16, 100
38.28, 37
42.15, 34
44.55, 17
48.01, 22
51.47, 18



Entry 6:
Structure and computed X-ray powder pattern of CsPrS2 (a crystal structure in the Materials Project, relaxed with PBE; λ = 1.5418 Å (Cu Kα)).
Intensities are scaled so that the largest is 100.

Crystal structure
a = 4.2831 Å, b = 4.2831 Å, c = 16.1890 Å
α = 90.00°, β = 90.00°, γ = 120.00°
Positions (direct):
Cs1 0.3333 0.6667 0.2500
Cs2 0.6667 0.3333 0.7500
Pr1 0.0000 0.0000 0.0000
Pr2 0.0000 0.0000 0.5000
S1 0.3333 0.6667 0.5940
S2 0.3333 0.6667 0.9060
S3 0.6667 0.3333 0.0940
S4 0.6667 0.3333 0.4060

Top 8 peaks for 2θ = 10–80°, low angle first:
2θ/deg, I (rel.)
21.96, 34
24.62, 20
26.43, 100
29.22, 60
41.38, 45
42.20, 42
48.07, 27
50.48, 17



Question: Number 6 is which compound?
Answer: CsPrS2



Repeat the sixth record exactly.
Structure and computed X-ray powder pattern of CsPrS2 (a crystal structure in the Materials Project, relaxed with PBE; λ = 1.5418 Å (Cu Kα)).
Intensities are scaled so that the largest is 100.

Crystal structure
a = 4.2831 Å, b = 4.2831 Å, c = 16.1890 Å
α = 90.00°, β = 90.00°, γ = 120.00°
Positions (direct):
Cs1 0.3333 0.6667 0.2500
Cs2 0.6667 0.3333 0.7500
Pr1 0.0000 0.0000 0.0000
Pr2 0.0000 0.0000 0.5000
S1 0.3333 0.6667 0.5940
S2 0.3333 0.6667 0.9060
S3 0.6667 0.3333 0.0940
S4 0.6667 0.3333 0.4060

Top 8 peaks for 2θ = 10–80°, low angle first:
2θ/deg, I (rel.)
21.96, 34
24.62, 20
26.43, 100
29.22, 60
41.38, 45
42.20, 42
48.07, 27
50.48, 17